Simulated powder X-ray diffraction pattern of GdNi2Te for Cu Kα (weighted mean of Kα1 and Kα2), from a cell relaxed with PBE.
Intensities are scaled so that the largest is 100.

Structural model:
```
GdNi2Te
1.0
4.2957 0.0000 0.0000
0.0000 4.9329 0.0000
0.0000 0.0000 7.1573
Gd Ni Te
2 4 2
Direct
0.0000 0.2071 0.0000 Gd
0.0000 0.7929 0.5000 Gd
0.0000 0.2919 0.6021 Ni
0.0000 0.7081 0.1021 Ni
0.5000 0.1667 0.7319 Ni
0.5000 0.8333 0.2319 Ni
0.5000 0.3026 0.3824 Te
0.5000 0.6974 0.8824 Te
```

Main lines, in order of rising 2θ (15 to 90 degrees two-theta):
2θ (°)  d [Å]  Rel. int.  hkl
30.28  2.951  100.0  1 1 1
32.57  2.750  82.5  1 0 2
36.43  2.466  38.8  0 2 0
42.07  2.148  80.5  2 0 0
47.32  1.921  34.8  1 1 3
49.66  1.836  31.1  1 2 2